Record 1
Calculated X-ray powder pattern
Compound: MgCuGe2O6
Radiation: Cu Kα, 1.54184 Å
Structure: a structure optimized by DFT (PBE)

Peak list (10 most intense, 2θ from 10° to 90°, most intense first)
2θ 28.4, intensity 100
2θ 29.7, intensity 74
2θ 35.7, intensity 45
2θ 35.5, intensity 40
2θ 33.7, intensity 30
2θ 26.2, intensity 25
2θ 54.1, intensity 24
2θ 65.3, intensity 22
2θ 19.2, intensity 15
2θ 38.4, intensity 14

Structure:
```
MgCuGe2O6
1.0
9.738 0.000 0.000
0.000 9.224 0.000
-1.048 0.000 5.280
Mg Cu Ge O
4 4 8 24
direct
0.247 0.008 0.440
0.247 0.492 0.940
0.753 0.508 0.060
0.753 0.992 0.560
0.242 0.649 0.451
0.242 0.851 0.951
0.758 0.149 0.049
0.758 0.351 0.549
0.058 0.160 0.842
0.058 0.340 0.342
0.465 0.157 0.234
0.465 0.343 0.734
0.535 0.657 0.266
0.535 0.843 0.766
0.942 0.660 0.658
0.942 0.840 0.158
0.112 0.180 0.184
0.112 0.320 0.684
0.127 0.650 0.720
0.127 0.850 0.220
0.142 0.016 0.728
0.142 0.484 0.228
0.350 0.662 0.177
0.350 0.838 0.677
0.385 0.512 0.697
0.385 0.988 0.197
0.391 0.213 0.502
0.391 0.287 0.002
0.609 0.713 0.998
0.609 0.787 0.498
0.615 0.012 0.803
0.615 0.488 0.303
0.650 0.162 0.323
0.650 0.338 0.823
0.858 0.516 0.772
0.858 0.984 0.272
0.873 0.150 0.780
0.873 0.350 0.280
0.888 0.680 0.316
0.888 0.820 0.816
```

***

Record 2
Calculated X-ray powder pattern
Compound: Cu2IO8
Radiation: Cu Kα, 1.54184 Å
Structure: a structure optimized by DFT (PBE)

Peak list (10 most intense, 2θ from 10° to 90°, most intense first)
2θ 14.0, intensity 100
2θ 32.0, intensity 29
2θ 23.5, intensity 28
2θ 22.9, intensity 25
2θ 35.9, intensity 23
2θ 35.2, intensity 15
2θ 28.3, intensity 14
2θ 34.2, intensity 12
2θ 21.6, intensity 12
2θ 37.6, intensity 11

Structure:
```
Cu2IO8
1.0
6.306 0.000 0.000
0.000 5.450 0.000
-0.100 0.000 9.777
Cu I O
4 2 16
direct
0.014 0.000 0.392
0.218 0.600 0.910
0.782 0.100 0.090
0.986 0.500 0.608
0.034 0.519 0.240
0.966 0.019 0.760
0.011 0.160 0.560
0.064 0.386 0.786
0.077 0.427 0.056
0.181 0.256 0.323
0.227 0.858 0.760
0.429 0.821 0.305
0.446 0.721 0.993
0.473 0.267 0.589
0.527 0.767 0.411
0.554 0.221 0.007
0.571 0.321 0.695
0.773 0.358 0.240
0.819 0.756 0.677
0.923 0.927 0.944
0.936 0.886 0.214
0.989 0.660 0.440
```

***

Record 3
Calculated X-ray powder pattern
Compound: Mg14TiCo
Radiation: Cu Kα, 1.54184 Å
Structure: a structure optimized by DFT (PBE)

Peak list (10 most intense, 2θ from 10° to 90°, most intense first)
2θ 38.2, intensity 100
2θ 37.4, intensity 58
2θ 36.1, intensity 39
2θ 33.5, intensity 29
2θ 70.9, intensity 18
2θ 58.7, intensity 18
2θ 50.1, intensity 17
2θ 66.3, intensity 16
2θ 73.3, intensity 14
2θ 32.6, intensity 12

Structure:
```
Mg14TiCo
1.0
9.950 0.000 0.000
0.000 3.062 5.495
0.000 -3.062 5.495
Mg Ti Co
14 1 1
direct
0.000 0.000 0.000
0.000 0.004 0.499
0.000 0.498 0.498
0.000 0.499 0.004
0.249 0.662 0.662
0.266 0.166 0.673
0.266 0.673 0.166
0.268 0.156 0.156
0.500 0.509 0.996
0.500 0.996 0.509
0.732 0.156 0.156
0.734 0.166 0.673
0.734 0.673 0.166
0.751 0.662 0.662
0.500 0.508 0.508
0.500 0.000 0.000
```